Starting from a crystal structure in Alexandria, relaxed with GGA-PBE, the X-ray powder pattern of K2Tl12In was simulated for Cu Kα X-rays.

Structural model:
```
data_K2Tl12In
_symmetry_space_group_name_H-M 'P 1'
_symmetry_Int_Tables_number 1
_cell_length_a 7.100
_cell_length_b 7.100
_cell_length_c 20.568
_cell_angle_alpha 90.00
_cell_angle_beta 90.00
_cell_angle_gamma 90.00
loop_
_symmetry_equiv_pos_as_xyz
'x,y,z'
loop_
_atom_site_label
_atom_site_type_symbol
_atom_site_fract_x
_atom_site_fract_y
_atom_site_fract_z
K1 K 0.250 0.750 0.244
K2 K 0.250 0.750 0.756
K3 K 0.750 0.250 0.244
K4 K 0.750 0.250 0.756
Tl1 Tl 0.001 0.501 0.407
Tl2 Tl 0.001 0.999 0.593
Tl3 Tl 0.085 0.585 0.065
Tl4 Tl 0.085 0.915 0.935
Tl5 Tl 0.250 0.250 0.158
Tl6 Tl 0.250 0.250 0.310
Tl7 Tl 0.250 0.250 0.690
Tl8 Tl 0.250 0.250 0.842
Tl9 Tl 0.415 0.585 0.935
Tl10 Tl 0.415 0.915 0.065
Tl11 Tl 0.499 0.501 0.593
Tl12 Tl 0.499 0.999 0.407
Tl13 Tl 0.501 0.001 0.593
Tl14 Tl 0.501 0.499 0.407
Tl15 Tl 0.585 0.085 0.935
Tl16 Tl 0.585 0.415 0.065
Tl17 Tl 0.750 0.750 0.158
Tl18 Tl 0.750 0.750 0.310
Tl19 Tl 0.750 0.750 0.690
Tl20 Tl 0.750 0.750 0.842
Tl21 Tl 0.915 0.085 0.065
Tl22 Tl 0.915 0.415 0.935
Tl23 Tl 0.999 0.001 0.407
Tl24 Tl 0.999 0.499 0.593
In1 In 0.250 0.750 0.500
In2 In 0.750 0.250 0.500
```

Most intense lines, 2θ from 5° to 70°, in order of rising 2θ:
two_theta  Rel. int.
8.60  46
19.68  61
26.56  76
31.04  34
31.60  28
33.16  31
33.34  42
35.76  90
36.44  100
54.25  32

=====

Starting from a crystal structure in Alexandria, relaxed with GGA-PBE, the X-ray powder pattern of Tl2CuRhCl6 was simulated for Cu Kα X-rays.

Structural model:
```
data_Tl2CuRhCl6
_symmetry_space_group_name_H-M 'P 1'
_symmetry_Int_Tables_number 1
_cell_length_a 12.391
_cell_length_b 12.391
_cell_length_c 12.391
_cell_angle_alpha 32.77
_cell_angle_beta 32.77
_cell_angle_gamma 32.77
loop_
_symmetry_equiv_pos_as_xyz
'x,y,z'
loop_
_atom_site_label
_atom_site_type_symbol
_atom_site_fract_x
_atom_site_fract_y
_atom_site_fract_z
Tl1 Tl 0.121 0.121 0.121
Tl2 Tl 0.300 0.300 0.300
Tl3 Tl 0.700 0.700 0.700
Tl4 Tl 0.879 0.879 0.879
Cu1 Cu 0.413 0.413 0.413
Cu2 Cu 0.587 0.587 0.587
Rh1 Rh 0.000 0.000 0.000
Rh2 Rh 0.500 0.500 0.500
Cl1 Cl 0.146 0.616 0.616
Cl2 Cl 0.203 0.203 0.715
Cl3 Cl 0.203 0.715 0.203
Cl4 Cl 0.285 0.797 0.797
Cl5 Cl 0.384 0.384 0.854
Cl6 Cl 0.384 0.854 0.384
Cl7 Cl 0.616 0.146 0.616
Cl8 Cl 0.616 0.616 0.146
Cl9 Cl 0.715 0.203 0.203
Cl10 Cl 0.797 0.285 0.797
Cl11 Cl 0.797 0.797 0.285
Cl12 Cl 0.854 0.384 0.384
```

Most intense lines, 2θ from 5° to 70°, in order of rising 2θ:
two_theta  Rel. int.
19.35  42
23.01  37
25.49  100
29.39  38
32.20  49
34.60  46
39.28  32
44.92  23
47.41  24
52.35  33

=====

Starting from a crystal structure in Alexandria, relaxed with GGA-PBE, the X-ray powder pattern of LaTeP2Ru was simulated for Cu Kα X-rays.

Structural model:
```
data_LaTeP2Ru
_symmetry_space_group_name_H-M 'P 1'
_symmetry_Int_Tables_number 1
_cell_length_a 5.389
_cell_length_b 5.389
_cell_length_c 6.105
_cell_angle_alpha 90.00
_cell_angle_beta 90.00
_cell_angle_gamma 90.00
loop_
_symmetry_equiv_pos_as_xyz
'x,y,z'
loop_
_atom_site_label
_atom_site_type_symbol
_atom_site_fract_x
_atom_site_fract_y
_atom_site_fract_z
La1 La 0.000 0.000 0.000
Te1 Te 0.000 0.000 0.500
P1 P 0.000 0.500 0.000
P2 P 0.500 0.000 0.000
Ru1 Ru 0.500 0.500 0.500
```

Most intense lines, 2θ from 5° to 70°, in order of rising 2θ:
two_theta  Rel. int.
16.45  62
22.00  35
23.34  100
27.59  35
29.26  57
33.25  81
37.76  58
44.87  69
47.74  33
56.97  34

=====

Starting from a crystal structure in Alexandria, relaxed with GGA-PBE, the X-ray powder pattern of Tb4Pr5Er4 was simulated for Cu Kα X-rays.

Structural model:
```
data_Tb4Pr5Er4
_symmetry_space_group_name_H-M 'P 1'
_symmetry_Int_Tables_number 1
_cell_length_a 9.546
_cell_length_b 9.546
_cell_length_c 9.546
_cell_angle_alpha 94.06
_cell_angle_beta 94.06
_cell_angle_gamma 149.12
loop_
_symmetry_equiv_pos_as_xyz
'x,y,z'
loop_
_atom_site_label
_atom_site_type_symbol
_atom_site_fract_x
_atom_site_fract_y
_atom_site_fract_z
Tb1 Tb 0.155 0.767 0.922
Tb2 Tb 0.233 0.155 0.389
Tb3 Tb 0.767 0.845 0.611
Tb4 Tb 0.845 0.233 0.078
Pr1 Pr 0.000 0.000 0.000
Pr2 Pr 0.304 0.538 0.842
Pr3 Pr 0.462 0.304 0.766
Pr4 Pr 0.538 0.696 0.234
Pr5 Pr 0.696 0.462 0.158
Er1 Er 0.075 0.387 0.462
Er2 Er 0.387 0.925 0.312
Er3 Er 0.613 0.075 0.688
Er4 Er 0.925 0.613 0.538
```

Most intense lines, 2θ from 5° to 70°, in order of rising 2θ:
two_theta  Rel. int.
9.61  1
30.37  100
35.16  34
35.31  17
50.58  12
50.69  24
60.15  29
60.35  14
63.19  12

=====

Q: What is the formula in the second record?
A: Tl2CuRhCl6